This entry pairs a crystal structure of Cs2Nb6PbCl18 with its theoretical powder XRD pattern. Radiation: Cu Kα X-rays. Structure: DFT lattice parameters and positions (GGA-PBE).

Crystal structure
Cell lengths 9.5604, 9.5604, 26.4640 Å; angles 90.00, 90.00, 120.00 degrees
Space group R-3 (No. 148, hexagonal axes)
Symmetry-distinct sites (fractional):
1 Cs 0.0000 0.0000 0.2229 x6
2 Nb 0.0351 0.1926 0.0452 x18
3 Pb 0.0000 0.0000 0.5000 x3
4 Cl 0.0278 0.2616 0.4364 x18
5 Cl 0.0408 0.2272 0.8931 x18
6 Cl 0.0642 0.2553 0.6661 x18

Main lines, by angle (10 to 90 degrees two-theta):
12.61°, rel. 100, (0 1 2)
17.16°, rel. 94, (1 0 4)
21.14°, rel. 81, (1 1 3)
33.26°, rel. 86, (3 -2 5)
39.01°, rel. 74, (0 1 11)
39.65°, rel. 81, (3 -2 8)